# NiAu2F8
Simulated X-ray diffraction stick pattern, copper Kα. Input: the GGA+U geometry in Alexandria.
Intensities are scaled so that the largest is 100.

The 10 most intense peaks (2θ from 10° to 90°), low angle first:
d 5.251, I 33, (1 0 0); d 3.849, I 74, (1 1 0); d 3.825, I 92, (0 1 2); d 3.534, I 100, (1 1 -2); d 3.196, I 63, (1 0 2); d 2.829, I 35, (0 2 0); d 2.715, I 28, (1 0 -4); d 2.490, I 34, (1 2 0); d 2.118, I 23, (1 2 2); d 1.767, I 24, (2 2 -4)

Unit cell a=5.572 b=5.657 c=11.017 alpha=90.00 beta=109.52 gamma=90.00
Space group P2_1/c (No. 14)
Asymmetric unit:
Ni 0.000 0.000 0.000 (multiplicity 2)
Au 0.365 0.224 0.329 (multiplicity 4)
F 0.063 0.127 0.182 (multiplicity 4)
F 0.159 0.217 0.446 (multiplicity 4)
F 0.329 0.685 0.526 (multiplicity 4)
F 0.433 0.722 0.285 (multiplicity 4)